No. 1
Diffraction record for Pr4AlZnAg2. The X-ray powder pattern is calculated, not measured: it uses a cell relaxed with GGA-PBE and Cu Kα X-rays.
Peak positions follow from Bragg's law for the DFT cell and can differ from measured ones.

Structural model:
Unit cell a=9.241 b=9.241 c=9.241 alpha=33.51 beta=33.51 gamma=33.51
Positions (direct):
Pr (0.123, 0.123, 0.123)
Pr (0.373, 0.373, 0.373)
Pr (0.627, 0.627, 0.627)
Pr (0.877, 0.877, 0.877)
Al (0.500, 0.500, 0.500)
Zn (0.000, 0.000, 0.000)
Ag (0.247, 0.247, 0.247)
Ag (0.753, 0.753, 0.753)

Largest 10 diffraction maxima, low angle first, 5 to 70 degrees two-theta:
d/Å, Position (°2θ), Rel. int.
4.353, 20.4, 5
3.770, 23.6, 9
2.666, 33.6, 100
2.273, 39.6, 2
2.176, 41.5, 3
1.963, 46.2, 1
1.885, 48.3, 18
1.730, 52.9, 1
1.686, 54.4, 4
1.539, 60.1, 36

No. 2
Diffraction record for SmAl4AgPt2. The X-ray powder pattern is calculated, not measured: it uses a cell relaxed with GGA-PBE and Cu Kα X-rays.
Peak positions follow from Bragg's law for the DFT cell and can differ from measured ones.

Structural model:
Unit cell a=9.367 b=9.367 c=9.367 alpha=26.53 beta=26.53 gamma=26.53
Positions (direct):
Sm (0.000, 0.000, 0.000)
Al (0.126, 0.126, 0.126)
Al (0.402, 0.402, 0.402)
Al (0.598, 0.598, 0.598)
Al (0.874, 0.874, 0.874)
Ag (0.500, 0.500, 0.500)
Pt (0.240, 0.240, 0.240)
Pt (0.760, 0.760, 0.760)

Largest 10 diffraction maxima, low angle first, 5 to 70 degrees two-theta:
d/Å, Position (°2θ), Rel. int.
3.262, 27.3, 100
3.068, 29.1, 8
2.505, 35.8, 77
2.258, 39.9, 11
2.149, 42.0, 63
1.795, 50.9, 19
1.631, 56.4, 21
1.557, 59.4, 22
1.542, 60.0, 9
1.378, 68.1, 15

No. 3
Diffraction record for AlAg3Rh. The X-ray powder pattern is calculated, not measured: it uses a cell relaxed with GGA-PBE and Cu Kα X-rays.
Peak positions follow from Bragg's law for the DFT cell and can differ from measured ones.

Structural model:
Unit cell a=4.684 b=4.684 c=4.684 alpha=90.00 beta=90.00 gamma=90.00
Positions (direct):
Al (0.000, 0.000, 0.000)
Ag (0.000, 0.000, 0.500)
Ag (0.000, 0.500, 0.000)
Ag (0.500, 0.000, 0.000)
Rh (0.500, 0.500, 0.500)

Largest 8 diffraction maxima, low angle first, 5 to 70 degrees two-theta:
d/Å, Position (°2θ), Rel. int.
4.684, 18.9, 2
3.312, 26.9, 1
2.704, 33.1, 100
2.342, 38.4, 63
2.095, 43.2, 1
1.656, 55.5, 42
1.412, 66.2, 37
1.352, 69.5, 14

No. 4
Diffraction record for AlAgS6. The X-ray powder pattern is calculated, not measured: it uses a cell relaxed with GGA-PBE and Cu Kα X-rays.
Peak positions follow from Bragg's law for the DFT cell and can differ from measured ones.

Structural model:
Unit cell a=3.634 b=6.246 c=11.118 alpha=73.69 beta=83.93 gamma=83.11
Positions (direct):
Al (0.000, 0.000, 0.000)
Ag (0.500, 0.500, 0.000)
S (0.207, 0.337, 0.866)
S (0.285, 0.437, 0.477)
S (0.468, 0.966, 0.150)
S (0.532, 0.034, 0.850)
S (0.715, 0.563, 0.523)
S (0.793, 0.663, 0.134)

Largest 10 diffraction maxima, low angle first, 5 to 70 degrees two-theta:
d/Å, Position (°2θ), Rel. int.
10.640, 8.3, 100
5.962, 14.9, 19
5.320, 16.7, 27
3.597, 24.8, 7
3.524, 25.3, 19
2.984, 29.9, 10
2.687, 33.3, 14
2.670, 33.6, 10
2.306, 39.1, 8
2.197, 41.1, 7

No. 5
Diffraction record for AlAg9S6. The X-ray powder pattern is calculated, not measured: it uses a cell relaxed with GGA-PBE and Cu Kα X-rays.
Peak positions follow from Bragg's law for the DFT cell and can differ from measured ones.

Structural model:
Unit cell a=7.620 b=7.651 c=7.695 alpha=90.07 beta=119.42 gamma=119.73
Positions (direct):
Al (0.000, 0.000, 0.000)
Ag (0.053, 0.505, 0.042)
Ag (0.073, 0.306, 0.428)
Ag (0.336, 0.765, 0.497)
Ag (0.382, 0.542, 0.910)
Ag (0.531, 0.002, 0.039)
Ag (0.568, 0.520, 0.504)
Ag (0.654, 0.162, 0.468)
Ag (0.743, 0.467, 0.194)
Ag (0.984, 0.890, 0.516)
S (0.024, 0.550, 0.588)
S (0.228, 0.114, 0.358)
S (0.258, 0.141, 0.896)
S (0.517, 0.772, 0.278)
S (0.745, 0.106, 0.853)
S (0.768, 0.640, 0.901)

Largest 10 diffraction maxima, low angle first, 5 to 70 degrees two-theta:
d/Å, Position (°2θ), Rel. int.
6.238, 14.2, 30
3.273, 27.2, 30
3.171, 28.1, 68
3.118, 28.6, 52
2.711, 33.0, 35
2.513, 35.7, 42
2.485, 36.2, 51
2.475, 36.3, 32
2.434, 36.9, 31
2.420, 37.1, 100

No. 6
Diffraction record for Al2TlAgS4. The X-ray powder pattern is calculated, not measured: it uses a cell relaxed with GGA-PBE and Cu Kα X-rays.
Peak positions follow from Bragg's law for the DFT cell and can differ from measured ones.

Structural model:
Unit cell a=7.792 b=7.792 c=7.792 alpha=139.97 beta=139.97 gamma=57.89
Positions (direct):
Al (0.250, 0.750, 0.500)
Al (0.750, 0.250, 0.500)
Tl (0.000, 0.000, 0.000)
Ag (0.500, 0.500, 0.000)
S (0.120, 0.120, 0.550)
S (0.430, 0.880, 0.000)
S (0.570, 0.570, 0.450)
S (0.880, 0.430, 0.000)

Largest 10 diffraction maxima, low angle first, 5 to 70 degrees two-theta:
d/Å, Position (°2θ), Rel. int.
6.818, 13.0, 35
3.771, 23.6, 31
3.409, 26.1, 13
3.300, 27.0, 100
2.529, 35.5, 24
2.483, 36.2, 29
2.100, 43.1, 39
1.947, 46.7, 21
1.885, 48.3, 16
1.637, 56.2, 25

No. 7
Diffraction record for YAlAg2S4. The X-ray powder pattern is calculated, not measured: it uses a cell relaxed with GGA-PBE and Cu Kα X-rays.
Peak positions follow from Bragg's law for the DFT cell and can differ from measured ones.

Structural model:
Unit cell a=7.625 b=7.625 c=7.379 alpha=117.30 beta=117.30 gamma=92.86
Positions (direct):
Y (0.000, 0.500, 0.000)
Y (0.500, 0.000, 0.500)
Al (0.000, 0.000, 0.000)
Al (0.000, 0.000, 0.500)
Ag (0.000, 0.500, 0.500)
Ag (0.500, 0.000, 0.000)
Ag (0.500, 0.500, 0.000)
Ag (0.500, 0.500, 0.500)
S (0.218, 0.222, 0.941)
S (0.218, 0.770, 0.496)
S (0.222, 0.218, 0.441)
S (0.230, 0.782, 0.004)
S (0.770, 0.218, 0.996)
S (0.778, 0.782, 0.559)
S (0.782, 0.230, 0.504)
S (0.782, 0.778, 0.059)

Largest 10 diffraction maxima, low angle first, 5 to 70 degrees two-theta:
d/Å, Position (°2θ), Rel. int.
3.198, 27.9, 64
3.066, 29.1, 58
2.762, 32.4, 100
2.754, 32.5, 98
2.623, 34.2, 91
1.961, 46.3, 34
1.950, 46.6, 64
1.902, 47.8, 63
1.843, 49.5, 28
1.599, 57.6, 36

No. 8
Diffraction record for Al2AgSb. The X-ray powder pattern is calculated, not measured: it uses a cell relaxed with GGA-PBE and Cu Kα X-rays.
Peak positions follow from Bragg's law for the DFT cell and can differ from measured ones.

Structural model:
Unit cell a=4.277 b=4.295 c=4.431 alpha=90.00 beta=90.00 gamma=90.00
Positions (direct):
Al (0.000, 0.000, 0.000)
Al (0.000, 0.500, 0.500)
Ag (0.500, 0.000, 0.500)
Sb (0.500, 0.500, 0.000)

Largest 10 diffraction maxima, low angle first, 5 to 70 degrees two-theta:
d/Å, Position (°2θ), Rel. int.
4.277, 20.8, 39
3.084, 29.0, 34
2.501, 35.9, 100
2.215, 40.7, 17
2.147, 42.1, 16
2.139, 42.3, 16
1.757, 52.0, 13
1.542, 60.0, 11
1.539, 60.1, 11
1.515, 61.2, 10

No. 9
Diffraction record for ScAlAg2. The X-ray powder pattern is calculated, not measured: it uses a cell relaxed with GGA-PBE and Cu Kα X-rays.
Peak positions follow from Bragg's law for the DFT cell and can differ from measured ones.

Structural model:
Unit cell a=3.338 b=3.338 c=6.634 alpha=90.00 beta=90.00 gamma=90.00
Positions (direct):
Sc (0.000, 0.000, 0.000)
Al (0.500, 0.500, 0.728)
Ag (0.000, 0.000, 0.516)
Ag (0.500, 0.500, 0.261)

Largest 10 diffraction maxima, low angle first, 5 to 70 degrees two-theta:
d/Å, Position (°2θ), Rel. int.
6.634, 13.3, 42
2.982, 30.0, 28
2.361, 38.1, 51
2.353, 38.3, 100
2.224, 40.6, 12
1.843, 49.4, 7
1.669, 55.0, 17
1.658, 55.4, 8
1.361, 69.0, 32
1.357, 69.2, 15

No. 10
Diffraction record for ScAlAg3. The X-ray powder pattern is calculated, not measured: it uses a cell relaxed with GGA-PBE and Cu Kα X-rays.
Peak positions follow from Bragg's law for the DFT cell and can differ from measured ones.

Structural model:
Unit cell a=13.893 b=13.893 c=3.072 alpha=90.00 beta=90.00 gamma=160.55
Positions (direct):
Sc (0.178, 0.822, 0.000)
Sc (0.822, 0.178, 0.000)
Al (0.371, 0.629, 0.500)
Al (0.629, 0.371, 0.500)
Ag (0.080, 0.920, 0.500)
Ag (0.276, 0.724, 0.500)
Ag (0.451, 0.549, 0.000)
Ag (0.549, 0.451, 0.000)
Ag (0.724, 0.276, 0.500)
Ag (0.920, 0.080, 0.500)

Largest 10 diffraction maxima, low angle first, 5 to 70 degrees two-theta:
d/Å, Position (°2θ), Rel. int.
4.564, 19.4, 65
3.564, 25.0, 44
2.559, 35.1, 58
2.548, 35.2, 36
2.474, 36.3, 77
2.347, 38.3, 75
2.327, 38.7, 63
2.199, 41.0, 100
1.964, 46.2, 48
1.350, 69.6, 28

No. 11
Diffraction record for ScAl2Ag2. The X-ray powder pattern is calculated, not measured: it uses a cell relaxed with GGA-PBE and Cu Kα X-rays.
Peak positions follow from Bragg's law for the DFT cell and can differ from measured ones.

Structural model:
Unit cell a=6.807 b=6.807 c=6.807 alpha=146.52 beta=146.52 gamma=48.08
Positions (direct):
Sc (0.000, 0.000, 0.000)
Al (0.250, 0.750, 0.500)
Al (0.750, 0.250, 0.500)
Ag (0.392, 0.392, 0.000)
Ag (0.608, 0.608, 0.000)

Largest 10 diffraction maxima, low angle first, 5 to 70 degrees two-theta:
d/Å, Position (°2θ), Rel. int.
3.740, 23.8, 100
2.849, 31.4, 61
2.773, 32.3, 63
2.532, 35.4, 46
2.100, 43.1, 83
2.070, 43.7, 58
1.961, 46.3, 50
1.737, 52.7, 22
1.615, 57.0, 20
1.433, 65.1, 45

No. 12
Diffraction record for ScAlAg2Se4. The X-ray powder pattern is calculated, not measured: it uses a cell relaxed with GGA-PBE and Cu Kα X-rays.
Peak positions follow from Bragg's law for the DFT cell and can differ from measured ones.

Structural model:
Unit cell a=8.331 b=7.373 c=6.943 alpha=90.00 beta=90.00 gamma=90.00
Positions (direct):
Sc (0.000, 0.159, 0.000)
Sc (0.500, 0.841, 0.500)
Al (0.000, 0.827, 0.508)
Al (0.500, 0.173, 0.008)
Ag (0.244, 0.311, 0.531)
Ag (0.256, 0.689, 0.031)
Ag (0.744, 0.689, 0.031)
Ag (0.756, 0.311, 0.531)
Se (0.000, 0.128, 0.373)
Se (0.000, 0.838, 0.856)
Se (0.238, 0.663, 0.410)
Se (0.262, 0.337, 0.910)
Se (0.500, 0.162, 0.356)
Se (0.500, 0.872, 0.873)
Se (0.738, 0.337, 0.910)
Se (0.762, 0.663, 0.410)

Largest 10 diffraction maxima, low angle first, 5 to 70 degrees two-theta:
d/Å, Position (°2θ), Rel. int.
3.686, 24.1, 56
3.627, 24.5, 100
3.472, 25.7, 76
3.256, 27.4, 41
3.215, 27.8, 79
2.117, 42.7, 82
2.083, 43.4, 44
1.960, 46.3, 40
1.951, 46.6, 88
1.807, 50.5, 40

No. 13
Diffraction record for AlAgSe. The X-ray powder pattern is calculated, not measured: it uses a cell relaxed with GGA-PBE and Cu Kα X-rays.
Peak positions follow from Bragg's law for the DFT cell and can differ from measured ones.

Structural model:
Unit cell a=8.911 b=8.911 c=11.678 alpha=125.96 beta=125.96 gamma=36.17
Positions (direct):
Al (0.012, 0.988, 0.500)
Al (0.361, 0.891, 0.404)
Al (0.776, 0.831, 0.099)
Al (0.831, 0.776, 0.599)
Al (0.891, 0.361, 0.904)
Al (0.988, 0.012, 0.000)
Ag (0.247, 0.356, 0.089)
Ag (0.356, 0.247, 0.589)
Ag (0.388, 0.868, 0.888)
Ag (0.436, 0.550, 0.411)
Ag (0.550, 0.436, 0.911)
Ag (0.868, 0.388, 0.388)
Se (0.070, 0.634, 0.824)
Se (0.176, 0.707, 0.620)
Se (0.383, 0.849, 0.186)
Se (0.634, 0.070, 0.324)
Se (0.707, 0.176, 0.120)
Se (0.849, 0.383, 0.686)

Largest 10 diffraction maxima, low angle first, 5 to 70 degrees two-theta:
d/Å, Position (°2θ), Rel. int.
5.815, 15.2, 47
4.196, 21.2, 60
3.773, 23.6, 61
3.175, 28.1, 68
2.822, 31.7, 100
2.786, 32.1, 83
2.759, 32.4, 60
2.309, 39.0, 77
2.220, 40.6, 51
2.128, 42.5, 71

No. 14
Diffraction record for AlSiAgSe4. The X-ray powder pattern is calculated, not measured: it uses a cell relaxed with GGA-PBE and Cu Kα X-rays.
Peak positions follow from Bragg's law for the DFT cell and can differ from measured ones.

Structural model:
Unit cell a=6.623 b=6.623 c=6.623 alpha=126.04 beta=126.04 gamma=79.83
Positions (direct):
Al (0.000, 0.000, 0.000)
Si (0.750, 0.250, 0.500)
Ag (0.500, 0.500, 0.000)
Se (0.081, 0.615, 0.973)
Se (0.385, 0.358, 0.466)
Se (0.642, 0.108, 0.027)
Se (0.892, 0.919, 0.534)

Largest 10 diffraction maxima, low angle first, 5 to 70 degrees two-theta:
d/Å, Position (°2θ), Rel. int.
5.173, 17.1, 16
4.249, 20.9, 10
3.259, 27.4, 100
2.950, 30.3, 8
2.598, 34.5, 13
2.586, 34.7, 11
2.125, 42.5, 26
1.940, 46.8, 38
1.780, 51.3, 30
1.573, 58.7, 9